# PuB2AuO8
Theoretical powder diffraction line list, Cu Kα. Input: a cell relaxed with PBE.
Neutral-atom scattering factors, no anomalous dispersion.

Largest 12 diffraction maxima, in order of rising 2θ, 5 to 70 degrees two-theta:
- (1 1 0), 2θ = 20.0°, I = 100
- (2 0 0), 2θ = 22.4°, I = 38
- (0 0 2), 2θ = 26.9°, I = 22
- (1 1 -2), 2θ = 33.1°, I = 34
- (0 2 0), 2θ = 33.5°, I = 17
- (1 1 2), 2θ = 34.4°, I = 33
- (3 1 0), 2θ = 37.9°, I = 22
- (2 2 0), 2θ = 40.7°, I = 10
- (0 2 2), 2θ = 43.5°, I = 22
- (3 1 -2), 2θ = 45.6°, I = 13
- (2 2 -2), 2θ = 48.5°, I = 22
- (2 2 2), 2θ = 50.4°, I = 11

Structural model:
```
data_PuB2AuO8
_symmetry_space_group_name_H-M 'C 1 2/m 1'
_symmetry_Int_Tables_number 12
_cell_length_a 7.9604
_cell_length_b 5.3466
_cell_length_c 6.6453
_cell_angle_alpha 90.00
_cell_angle_beta 93.99
_cell_angle_gamma 90.00
loop_
_symmetry_equiv_pos_as_xyz
'x,y,z'
'-x,-y,-z'
'-x,y,-z'
'x,-y,z'
'x+1/2,y+1/2,z'
'-x+1/2,-y+1/2,-z'
'-x+1/2,y+1/2,-z'
'x+1/2,-y+1/2,z'
loop_
_atom_site_label
_atom_site_type_symbol
_atom_site_fract_x
_atom_site_fract_y
_atom_site_fract_z
Pu1 Pu 0.0000 0.0000 0.0000
B1 B 0.1601 0.5000 0.2548
Au1 Au 0.0000 0.0000 0.5000
O1 O 0.0497 0.2753 0.2292
O2 O 0.2328 0.0000 0.9229
O3 O 0.2487 0.0000 0.5530
```

---

# BPAu
Theoretical powder diffraction line list, Cu Kα. Input: a cell relaxed with PBE.
Neutral-atom scattering factors, no anomalous dispersion.

Largest 12 diffraction maxima, in order of rising 2θ, 5 to 70 degrees two-theta:
- (0 2 0), 2θ = 16.8°, I = 100
- (1 1 0), 2θ = 29.0°, I = 99
- (0 0 2), 2θ = 32.5°, I = 44
- (0 4 0), 2θ = 33.9°, I = 38
- (0 2 2), 2θ = 36.8°, I = 39
- (1 3 0), 2θ = 37.9°, I = 36
- (1 1 2), 2θ = 44.1°, I = 62
- (0 4 2), 2θ = 47.7°, I = 27
- (1 3 2), 2θ = 50.8°, I = 34
- (1 5 0), 2θ = 51.7°, I = 23
- (1 5 2), 2θ = 62.5°, I = 24
- (2 0 2), 2θ = 67.4°, I = 11

Structural model:
```
data_BPAu
_symmetry_space_group_name_H-M 'C m c 21'
_symmetry_Int_Tables_number 36
_cell_length_a 3.2172
_cell_length_b 10.5706
_cell_length_c 5.5069
_cell_angle_alpha 90.00
_cell_angle_beta 90.00
_cell_angle_gamma 90.00
loop_
_symmetry_equiv_pos_as_xyz
'x,y,z'
'-x,-y,z+1/2'
'-x,y,z'
'x,-y,z+1/2'
'x+1/2,y+1/2,z'
'-x+1/2,-y+1/2,z+1/2'
'-x+1/2,y+1/2,z'
'x+1/2,-y+1/2,z+1/2'
loop_
_atom_site_label
_atom_site_type_symbol
_atom_site_fract_x
_atom_site_fract_y
_atom_site_fract_z
B1 B 0.0000 0.2197 0.0000
P1 P 0.0000 0.2211 0.3510
Au1 Au 0.0000 0.0097 0.9218
```

---

# BPRhAu
Theoretical powder diffraction line list, Cu Kα. Input: a cell relaxed with PBE.
Neutral-atom scattering factors, no anomalous dispersion.

Largest 12 diffraction maxima, in order of rising 2θ, 5 to 70 degrees two-theta:
- (0 0 1), 2θ = 15.4°, I = 36
- (2 0 -1), 2θ = 24.2°, I = 23
- (2 0 0), 2θ = 26.6°, I = 86
- (2 0 -2), 2θ = 30.9°, I = 34
- (0 0 2), 2θ = 31.1°, I = 39
- (1 1 -1), 2θ = 33.6°, I = 100
- (1 1 1), 2θ = 38.9°, I = 44
- (1 1 -2), 2θ = 41.3°, I = 25
- (2 0 -3), 2θ = 43.0°, I = 23
- (3 1 -1), 2θ = 47.6°, I = 47
- (4 0 -2), 2θ = 49.6°, I = 27
- (1 1 2), 2θ = 49.9°, I = 36

Structural model:
```
data_BPRhAu
_symmetry_space_group_name_H-M 'C 1 m 1'
_symmetry_Int_Tables_number 8
_cell_length_a 7.4433
_cell_length_b 3.0011
_cell_length_c 6.3882
_cell_angle_alpha 90.00
_cell_angle_beta 115.81
_cell_angle_gamma 90.00
loop_
_symmetry_equiv_pos_as_xyz
'x,y,z'
'x,-y,z'
'x+1/2,y+1/2,z'
'x+1/2,-y+1/2,z'
loop_
_atom_site_label
_atom_site_type_symbol
_atom_site_fract_x
_atom_site_fract_y
_atom_site_fract_z
B1 B 0.0000 0.0000 0.0000
P1 P 0.1667 0.5000 0.2140
Rh1 Rh 0.2888 0.0000 0.0089
Au1 Au 0.3130 0.5000 0.6258
```

---

# B2Pd8Au
Theoretical powder diffraction line list, Cu Kα. Input: a cell relaxed with PBE.
Neutral-atom scattering factors, no anomalous dispersion.

Largest 12 diffraction maxima, in order of rising 2θ, 5 to 70 degrees two-theta:
- (2 0 -1), 2θ = 29.6°, I = 21
- (1 3 -1), 2θ = 34.1°, I = 77
- (2 2 -1), 2θ = 34.3°, I = 15
- (2 0 1), 2θ = 37.0°, I = 100
- (0 4 1), 2θ = 40.7°, I = 96
- (3 1 -1), 2θ = 41.1°, I = 65
- (1 1 -2), 2θ = 43.0°, I = 66
- (2 4 0), 2θ = 43.3°, I = 72
- (3 3 0), 2θ = 47.1°, I = 38
- (1 3 2), 2θ = 55.0°, I = 19
- (3 3 -2), 2θ = 58.8°, I = 15
- (2 4 2), 2θ = 67.2°, I = 23

Structural model:
```
data_B2Pd8Au
_symmetry_space_group_name_H-M 'C 1 2/m 1'
_symmetry_Int_Tables_number 12
_cell_length_a 7.1237
_cell_length_b 10.4474
_cell_length_c 4.3071
_cell_angle_alpha 90.00
_cell_angle_beta 102.59
_cell_angle_gamma 90.00
loop_
_symmetry_equiv_pos_as_xyz
'x,y,z'
'-x,-y,-z'
'-x,y,-z'
'x,-y,z'
'x+1/2,y+1/2,z'
'-x+1/2,-y+1/2,-z'
'-x+1/2,y+1/2,-z'
'x+1/2,-y+1/2,z'
loop_
_atom_site_label
_atom_site_type_symbol
_atom_site_fract_x
_atom_site_fract_y
_atom_site_fract_z
B1 B 0.0000 0.1759 0.0000
Pd1 Pd 0.0000 0.2407 0.5000
Pd2 Pd 0.1091 0.0000 0.2907
Pd3 Pd 0.1985 0.3657 0.0880
Au1 Au 0.0000 0.5000 0.5000
```

---

# BPd8Au2
Theoretical powder diffraction line list, Cu Kα. Input: a cell relaxed with PBE.
Neutral-atom scattering factors, no anomalous dispersion.

Largest 12 diffraction maxima, in order of rising 2θ, 5 to 70 degrees two-theta:
- (0 2 0), 2θ = 13.9°, I = 9
- (2 0 -1), 2θ = 24.6°, I = 7
- (0 2 1), 2θ = 28.4°, I = 5
- (2 2 0), 2θ = 35.2°, I = 48
- (2 0 -2), 2θ = 37.8°, I = 58
- (1 1 1), 2θ = 38.1°, I = 16
- (1 5 -1), 2θ = 40.1°, I = 90
- (1 3 1), 2θ = 43.2°, I = 100
- (0 2 2), 2θ = 52.6°, I = 31
- (4 0 0), 2θ = 67.2°, I = 11
- (2 8 0), 2θ = 67.7°, I = 19
- (3 5 -3), 2θ = 69.8°, I = 18

Structural model:
```
data_BPd8Au2
_symmetry_space_group_name_H-M 'C 1 m 1'
_symmetry_Int_Tables_number 8
_cell_length_a 7.3195
_cell_length_b 12.7643
_cell_length_c 4.7573
_cell_angle_alpha 90.00
_cell_angle_beta 130.46
_cell_angle_gamma 90.00
loop_
_symmetry_equiv_pos_as_xyz
'x,y,z'
'x,-y,z'
'x+1/2,y+1/2,z'
'x+1/2,-y+1/2,z'
loop_
_atom_site_label
_atom_site_type_symbol
_atom_site_fract_x
_atom_site_fract_y
_atom_site_fract_z
B1 B 0.0000 0.0000 0.0000
Pd1 Pd 0.0002 0.1904 0.6647
Pd2 Pd 0.2485 0.5000 0.4117
Pd3 Pd 0.2496 0.1126 0.4173
Pd4 Pd 0.2512 0.0000 0.9141
Pd5 Pd 0.2505 0.3874 0.9183
Au1 Au 0.0002 0.3084 0.1652
```

---

# Pm2BPt4Au2
Theoretical powder diffraction line list, Cu Kα. Input: a cell relaxed with PBE.
Neutral-atom scattering factors, no anomalous dispersion.

Largest 12 diffraction maxima, in order of rising 2θ, 5 to 70 degrees two-theta:
- (1 1 0), 2θ = 20.3°, I = 1
- (2 1 1), 2θ = 34.1°, I = 1
- (1 0 3), 2θ = 34.4°, I = 2
- (2 0 2), 2θ = 35.7°, I = 100
- (2 2 0), 2θ = 41.3°, I = 35
- (0 0 4), 2θ = 41.9°, I = 15
- (2 1 3), 2θ = 45.5°, I = 2
- (1 0 5), 2θ = 55.3°, I = 1
- (4 0 0), 2θ = 59.9°, I = 12
- (2 2 4), 2θ = 60.3°, I = 21
- (3 2 3), 2θ = 63.2°, I = 1
- (2 1 5), 2θ = 63.6°, I = 2

Structural model:
```
data_Pm2BPt4Au2
_symmetry_space_group_name_H-M 'I 4/m m m'
_symmetry_Int_Tables_number 139
_symmetry_space_group_name_Hall '-I 4 2'
_cell_length_a 6.1796
_cell_length_b 6.1796
_cell_length_c 8.6246
_cell_angle_alpha 90.00
_cell_angle_beta 90.00
_cell_angle_gamma 90.00
loop_
_atom_site_label
_atom_site_type_symbol
_atom_site_fract_x
_atom_site_fract_y
_atom_site_fract_z
Pm1 Pm 0.0000 0.5000 0.2500
B1 B 0.0000 0.0000 0.0000
Pt1 Pt 0.2469 0.2469 0.0000
Au1 Au 0.0000 0.0000 0.2766
```

---

Copy entry 3 word for word.
# BPRhAu
Theoretical powder diffraction line list, Cu Kα. Input: a cell relaxed with PBE.
Neutral-atom scattering factors, no anomalous dispersion.

Largest 12 diffraction maxima, in order of rising 2θ, 5 to 70 degrees two-theta:
- (0 0 1), 2θ = 15.4°, I = 36
- (2 0 -1), 2θ = 24.2°, I = 23
- (2 0 0), 2θ = 26.6°, I = 86
- (2 0 -2), 2θ = 30.9°, I = 34
- (0 0 2), 2θ = 31.1°, I = 39
- (1 1 -1), 2θ = 33.6°, I = 100
- (1 1 1), 2θ = 38.9°, I = 44
- (1 1 -2), 2θ = 41.3°, I = 25
- (2 0 -3), 2θ = 43.0°, I = 23
- (3 1 -1), 2θ = 47.6°, I = 47
- (4 0 -2), 2θ = 49.6°, I = 27
- (1 1 2), 2θ = 49.9°, I = 36

Structural model:
```
data_BPRhAu
_symmetry_space_group_name_H-M 'C 1 m 1'
_symmetry_Int_Tables_number 8
_cell_length_a 7.4433
_cell_length_b 3.0011
_cell_length_c 6.3882
_cell_angle_alpha 90.00
_cell_angle_beta 115.81
_cell_angle_gamma 90.00
loop_
_symmetry_equiv_pos_as_xyz
'x,y,z'
'x,-y,z'
'x+1/2,y+1/2,z'
'x+1/2,-y+1/2,z'
loop_
_atom_site_label
_atom_site_type_symbol
_atom_site_fract_x
_atom_site_fract_y
_atom_site_fract_z
B1 B 0.0000 0.0000 0.0000
P1 P 0.1667 0.5000 0.2140
Rh1 Rh 0.2888 0.0000 0.0089
Au1 Au 0.3130 0.5000 0.6258
```

---

Repeat the first record exactly.
# PuB2AuO8
Theoretical powder diffraction line list, Cu Kα. Input: a cell relaxed with PBE.
Neutral-atom scattering factors, no anomalous dispersion.

Largest 12 diffraction maxima, in order of rising 2θ, 5 to 70 degrees two-theta:
- (1 1 0), 2θ = 20.0°, I = 100
- (2 0 0), 2θ = 22.4°, I = 38
- (0 0 2), 2θ = 26.9°, I = 22
- (1 1 -2), 2θ = 33.1°, I = 34
- (0 2 0), 2θ = 33.5°, I = 17
- (1 1 2), 2θ = 34.4°, I = 33
- (3 1 0), 2θ = 37.9°, I = 22
- (2 2 0), 2θ = 40.7°, I = 10
- (0 2 2), 2θ = 43.5°, I = 22
- (3 1 -2), 2θ = 45.6°, I = 13
- (2 2 -2), 2θ = 48.5°, I = 22
- (2 2 2), 2θ = 50.4°, I = 11

Structural model:
```
data_PuB2AuO8
_symmetry_space_group_name_H-M 'C 1 2/m 1'
_symmetry_Int_Tables_number 12
_cell_length_a 7.9604
_cell_length_b 5.3466
_cell_length_c 6.6453
_cell_angle_alpha 90.00
_cell_angle_beta 93.99
_cell_angle_gamma 90.00
loop_
_symmetry_equiv_pos_as_xyz
'x,y,z'
'-x,-y,-z'
'-x,y,-z'
'x,-y,z'
'x+1/2,y+1/2,z'
'-x+1/2,-y+1/2,-z'
'-x+1/2,y+1/2,-z'
'x+1/2,-y+1/2,z'
loop_
_atom_site_label
_atom_site_type_symbol
_atom_site_fract_x
_atom_site_fract_y
_atom_site_fract_z
Pu1 Pu 0.0000 0.0000 0.0000
B1 B 0.1601 0.5000 0.2548
Au1 Au 0.0000 0.0000 0.5000
O1 O 0.0497 0.2753 0.2292
O2 O 0.2328 0.0000 0.9229
O3 O 0.2487 0.0000 0.5530
```